Structure and computed powder diffractogram of La7Ho3Tm (a crystal structure in Alexandria, relaxed with PBE; Cu Ka).

Structural model:
```
data_La7Ho3Tm
_chemical_formula_sum 'La14 Ho6 Tm2'
_symmetry_space_group_name_H-M 'P 1'
_symmetry_Int_Tables_number 1
_symmetry_space_group_name_Hall 'P 1'
_cell_length_a 7.091
_cell_length_b 10.204
_cell_length_c 12.072
_cell_angle_alpha 104.27
_cell_angle_beta 98.66
_cell_angle_gamma 109.00
loop_
_atom_site_label
_atom_site_type_symbol
_atom_site_fract_x
_atom_site_fract_y
_atom_site_fract_z
La1 La 0.000 0.000 0.000
La2 La 0.021 0.857 0.241
La3 La 0.148 0.485 0.707
La4 La 0.180 0.348 0.976
La5 La 0.236 0.126 0.737
La6 La 0.332 0.875 0.515
La7 La 0.414 0.548 0.493
La8 La 0.460 0.963 0.897
La9 La 0.537 0.948 0.199
La10 La 0.641 0.421 0.726
La11 La 0.705 0.386 0.033
La12 La 0.800 0.879 0.479
La13 La 0.878 0.550 0.438
La14 La 0.960 0.270 0.236
Ho1 Ho 0.207 0.190 0.473
Ho2 Ho 0.369 0.615 0.232
Ho3 Ho 0.425 0.263 0.237
Ho4 Ho 0.583 0.674 0.970
Ho5 Ho 0.771 0.129 0.737
Ho6 Ho 0.847 0.778 0.730
Tm1 Tm 0.086 0.673 0.972
Tm2 Tm 0.712 0.205 0.475
```

Peak list (6 most intense, 15 to 90 degrees two-theta, low angle first)
| Position (°2θ) | I (rel.) | index |
| --- | --- | --- |
| 31.01 | 100 | 2 1 -1 |
| 31.34 | 74 | 0 3 -3 |
| 31.51 | 50 | 2 0 -3 |
| 31.61 | 72 | 0 0 4 |
| 31.76 | 81 | 2 -2 2 |
| 32.73 | 68 | 0 3 1 |